Structure and calculated XRD peak list of CuPO4 (a crystal structure in the Materials Project, relaxed with GGA-PBE; CuKα).
Peak positions follow from Bragg's law for the DFT cell and can differ from measured ones.

Crystal structure
abc: 7.236 5.511 6.074
angles: 77.14 47.95 54.91
Fractional positions:
Cu 0.000 0.000 0.000
Cu 0.250 0.250 0.250
P 0.363 0.363 0.637
P 0.613 0.613 0.887
O 0.194 0.714 0.670
O 0.228 0.285 0.954
O 0.285 0.228 0.533
O 0.296 0.717 0.022
O 0.580 0.828 0.056
O 0.714 0.194 0.422
O 0.717 0.296 0.965
O 0.828 0.580 0.536

Principal peaks in the range 2θ from 15° to 90°, low angle first:
20.44 deg, rel. 80
24.80 deg, rel. 100
31.10 deg, rel. 28
33.02 deg, rel. 19
33.55 deg, rel. 86
36.86 deg, rel. 36
37.57 deg, rel. 18
51.19 deg, rel. 32
53.77 deg, rel. 26
61.51 deg, rel. 14

=====

Structure and calculated XRD peak list of ZnH6Cl2O3 (a crystal structure in the Materials Project, relaxed with GGA-PBE; CuKα).
Peak positions follow from Bragg's law for the DFT cell and can differ from measured ones.

Crystal structure
abc: 6.718 6.748 14.424
angles: 90.45 100.97 96.99
Fractional positions:
Zn 0.000 0.000 0.000
Zn 0.000 0.000 0.500
Zn 0.386 0.601 0.259
Zn 0.614 0.399 0.741
H 0.034 0.890 0.184
H 0.035 0.650 0.397
H 0.052 0.822 0.669
H 0.062 0.662 0.907
H 0.170 0.646 0.500
H 0.182 0.212 0.869
H 0.205 0.665 0.009
H 0.264 0.946 0.661
H 0.338 0.091 0.424
H 0.340 0.247 0.074
H 0.344 0.049 0.130
H 0.346 0.257 0.505
H 0.654 0.743 0.495
H 0.656 0.951 0.870
H 0.660 0.753 0.926
H 0.662 0.909 0.576
H 0.736 0.054 0.339
H 0.795 0.335 0.991
H 0.818 0.788 0.131
H 0.830 0.354 0.500
H 0.938 0.338 0.093
H 0.948 0.178 0.331
H 0.965 0.350 0.603
H 0.966 0.110 0.816
Cl 0.053 0.459 0.252
Cl 0.382 0.945 0.277
Cl 0.412 0.517 0.614
Cl 0.482 0.561 0.117
Cl 0.518 0.439 0.883
Cl 0.588 0.483 0.386
Cl 0.618 0.055 0.723
Cl 0.947 0.541 0.748
O 0.069 0.717 0.460
O 0.078 0.098 0.870
O 0.080 0.712 0.973
O 0.116 0.942 0.642
O 0.292 0.119 0.483
O 0.299 0.101 0.067
O 0.701 0.899 0.933
O 0.708 0.881 0.517
O 0.884 0.058 0.358
O 0.920 0.288 0.027
O 0.922 0.902 0.130
O 0.931 0.283 0.540

Principal peaks in the range 2θ from 15° to 90°, low angle first:
16.59 deg, rel. 84
17.73 deg, rel. 36
17.95 deg, rel. 53
18.53 deg, rel. 61
20.15 deg, rel. 100
23.00 deg, rel. 34
26.63 deg, rel. 58
27.25 deg, rel. 37
32.17 deg, rel. 35
40.14 deg, rel. 34

=====

Structure and calculated XRD peak list of CsPH2O4 (a crystal structure in the Materials Project, relaxed with GGA-PBE; CuKα).
Peak positions follow from Bragg's law for the DFT cell and can differ from measured ones.

Crystal structure
abc: 4.951 6.465 8.053
angles: 90.00 107.62 90.00
Fractional positions:
Cs 0.030 0.000 0.266
Cs 0.970 0.500 0.734
P 0.466 0.008 0.762
P 0.534 0.508 0.238
H 0.175 0.490 0.352
H 0.497 0.277 0.009
H 0.503 0.777 0.991
H 0.825 0.990 0.648
O 0.150 0.999 0.674
O 0.389 0.476 0.388
O 0.421 0.314 0.115
O 0.424 0.710 0.140
O 0.576 0.210 0.860
O 0.579 0.814 0.885
O 0.611 0.976 0.612
O 0.850 0.499 0.326

Principal peaks in the range 2θ from 15° to 90°, low angle first:
17.94 deg, rel. 21
23.18 deg, rel. 49
23.38 deg, rel. 100
27.60 deg, rel. 33
28.58 deg, rel. 54
33.61 deg, rel. 20
36.34 deg, rel. 30
37.23 deg, rel. 23
37.64 deg, rel. 15
59.15 deg, rel. 14

=====

Structure and calculated XRD peak list of NdAl8Co2 (a crystal structure in the Materials Project, relaxed with GGA-PBE; CuKα).
Peak positions follow from Bragg's law for the DFT cell and can differ from measured ones.

Crystal structure
abc: 12.491 14.393 4.003
angles: 90.00 90.00 90.00
Fractional positions:
Nd 0.160 0.181 0.000
Nd 0.340 0.681 0.000
Nd 0.660 0.319 0.000
Nd 0.840 0.819 0.000
Al 0.000 0.000 0.000
Al 0.000 0.500 0.500
Al 0.026 0.868 0.500
Al 0.047 0.320 0.500
Al 0.096 0.747 0.000
Al 0.159 0.621 0.500
Al 0.160 0.456 0.000
Al 0.169 0.008 0.500
Al 0.236 0.827 0.500
Al 0.264 0.327 0.500
Al 0.331 0.508 0.500
Al 0.340 0.956 0.000
Al 0.341 0.121 0.500
Al 0.404 0.247 0.000
Al 0.453 0.820 0.500
Al 0.474 0.368 0.500
Al 0.500 0.000 0.500
Al 0.500 0.500 0.000
Al 0.526 0.632 0.500
Al 0.547 0.180 0.500
Al 0.596 0.753 0.000
Al 0.659 0.879 0.500
Al 0.660 0.044 0.000
Al 0.669 0.492 0.500
Al 0.736 0.673 0.500
Al 0.764 0.173 0.500
Al 0.831 0.992 0.500
Al 0.840 0.544 0.000
Al 0.841 0.379 0.500
Al 0.904 0.253 0.000
Al 0.953 0.680 0.500
Al 0.974 0.132 0.500
Co 0.034 0.594 0.000
Co 0.152 0.904 0.000
Co 0.348 0.404 0.000
Co 0.466 0.094 0.000
Co 0.534 0.906 0.000
Co 0.652 0.596 0.000
Co 0.848 0.096 0.000
Co 0.966 0.406 0.000

Principal peaks in the range 2θ from 15° to 90°, low angle first:
22.21 deg, rel. 98
25.77 deg, rel. 32
28.38 deg, rel. 31
34.27 deg, rel. 87
36.33 deg, rel. 100
37.04 deg, rel. 40
44.13 deg, rel. 38
45.30 deg, rel. 52
46.50 deg, rel. 35
49.94 deg, rel. 26

=====

Structure and calculated XRD peak list of Ca2MgC3O9 (a crystal structure in the Materials Project, relaxed with GGA-PBE; CuKα).
Peak positions follow from Bragg's law for the DFT cell and can differ from measured ones.

Crystal structure
abc: 4.911 4.911 16.746
angles: 90.00 90.00 120.00
Fractional positions:
Ca 0.000 0.000 0.000
Ca 0.000 0.000 0.500
Ca 0.333 0.667 0.319
Ca 0.667 0.333 0.819
Mg 0.333 0.667 0.660
Mg 0.667 0.333 0.160
C 0.000 0.000 0.234
C 0.000 0.000 0.734
C 0.333 0.667 0.088
C 0.333 0.667 0.908
C 0.667 0.333 0.408
C 0.667 0.333 0.588
O 0.040 0.282 0.735
O 0.051 0.627 0.086
O 0.070 0.669 0.908
O 0.243 0.960 0.735
O 0.282 0.040 0.235
O 0.331 0.401 0.908
O 0.373 0.424 0.086
O 0.401 0.331 0.408
O 0.424 0.373 0.586
O 0.576 0.949 0.086
O 0.599 0.930 0.908
O 0.627 0.051 0.586
O 0.669 0.070 0.408
O 0.718 0.757 0.735
O 0.757 0.718 0.235
O 0.930 0.599 0.408
O 0.949 0.576 0.586
O 0.960 0.243 0.235

Principal peaks in the range 2θ from 15° to 90°, low angle first:
26.35 deg, rel. 44
29.95 deg, rel. 100
34.07 deg, rel. 43
36.60 deg, rel. 25
38.20 deg, rel. 21
42.69 deg, rel. 23
43.93 deg, rel. 20
48.47 deg, rel. 19
49.44 deg, rel. 43
65.89 deg, rel. 16

=====

Structure and calculated XRD peak list of VNCl4 (a crystal structure in the Materials Project, relaxed with GGA-PBE; CuKα).
Peak positions follow from Bragg's law for the DFT cell and can differ from measured ones.

Crystal structure
abc: 5.998 7.674 8.220
angles: 108.14 93.89 112.83
Fractional positions:
V 0.242 0.004 0.357
V 0.758 0.996 0.643
N 0.412 0.148 0.258
N 0.588 0.852 0.742
Cl 0.029 0.193 0.454
Cl 0.032 0.249 0.876
Cl 0.418 0.702 0.827
Cl 0.461 0.799 0.358
Cl 0.539 0.201 0.642
Cl 0.582 0.298 0.173
Cl 0.968 0.751 0.124
Cl 0.971 0.807 0.546

Principal peaks in the range 2θ from 15° to 90°, low angle first:
19.06 deg, rel. 81
20.77 deg, rel. 76
27.11 deg, rel. 28
28.26 deg, rel. 100
29.66 deg, rel. 26
31.50 deg, rel. 70
32.59 deg, rel. 72
40.28 deg, rel. 33
40.41 deg, rel. 37
44.34 deg, rel. 23

=====

Structure and calculated XRD peak list of LiTi2BiO6 (a crystal structure in the Materials Project, relaxed with GGA-PBE; CuKα).
Peak positions follow from Bragg's law for the DFT cell and can differ from measured ones.

Crystal structure
abc: 5.574 5.574 5.574
angles: 58.15 58.15 58.15
Fractional positions:
Li 0.000 0.000 0.000
Ti 0.217 0.217 0.217
Ti 0.716 0.716 0.716
Bi 0.486 0.486 0.486
O 0.019 0.880 0.439
O 0.357 0.540 0.936
O 0.439 0.019 0.880
O 0.540 0.936 0.357
O 0.880 0.439 0.019
O 0.936 0.357 0.540

Principal peaks in the range 2θ from 15° to 90°, low angle first:
19.24 deg, rel. 38
19.98 deg, rel. 100
32.14 deg, rel. 63
33.07 deg, rel. 53
37.73 deg, rel. 21
38.54 deg, rel. 44
38.94 deg, rel. 21
46.78 deg, rel. 33
52.02 deg, rel. 31
58.48 deg, rel. 25

=====

Structure and calculated XRD peak list of Sr3Ir3N5 (a crystal structure in the Materials Project, relaxed with GGA-PBE; CuKα).
Peak positions follow from Bragg's law for the DFT cell and can differ from measured ones.

Crystal structure
abc: 6.553 7.715 8.054
angles: 70.87 70.97 81.83
Fractional positions:
Sr 0.028 0.193 0.282
Sr 0.296 0.621 0.377
Sr 0.373 0.907 0.899
Sr 0.627 0.093 0.101
Sr 0.704 0.379 0.623
Sr 0.972 0.807 0.718
Ir 0.129 0.296 0.782
Ir 0.312 0.497 0.921
Ir 0.397 0.159 0.491
Ir 0.603 0.841 0.509
Ir 0.688 0.503 0.079
Ir 0.871 0.704 0.218
N 0.107 0.276 0.553
N 0.143 0.604 0.100
N 0.324 0.967 0.410
N 0.335 0.233 0.941
N 0.382 0.648 0.667
N 0.618 0.352 0.333
N 0.665 0.767 0.059
N 0.676 0.033 0.590
N 0.857 0.396 0.900
N 0.893 0.724 0.447

Principal peaks in the range 2θ from 15° to 90°, low angle first:
15.79 deg, rel. 55
18.44 deg, rel. 31
19.69 deg, rel. 52
30.25 deg, rel. 34
30.60 deg, rel. 53
30.93 deg, rel. 54
31.87 deg, rel. 46
32.09 deg, rel. 100
33.83 deg, rel. 43
37.88 deg, rel. 35